Theoretical powder diffractogram of Mg2NiSbO6 for Cu Kα X-rays, from a crystal structure in Alexandria, relaxed with GGA+U.
Neutral-atom scattering factors, no anomalous dispersion.

```
Mg2NiSbO6
1.0
5.268 0.000 0.000
0.000 7.513 0.000
-0.388 0.000 5.322
Mg Ni Sb O
4 2 2 12
Direct
0.023 0.250 0.070
0.471 0.750 0.471
0.529 0.250 0.529
0.977 0.750 0.930
0.000 0.000 0.500
0.000 0.500 0.500
0.500 0.000 0.000
0.500 0.500 0.000
0.112 0.750 0.576
0.167 0.062 0.822
0.167 0.438 0.822
0.336 0.069 0.306
0.336 0.431 0.306
0.367 0.750 0.081
0.633 0.250 0.919
0.664 0.569 0.694
0.664 0.931 0.694
0.833 0.562 0.178
0.833 0.938 0.178
0.888 0.250 0.424
```

Peak list (6 most intense, 10° ≤ 2θ ≤ 80°, sorted by position)
Position (°2θ)	d/Å	intensity	hkl
22.90	3.883	59.7	1 0 -1
23.69	3.756	59.1	0 2 0
24.66	3.610	56.3	1 0 1
33.18	2.700	100.0	1 2 -1
34.13	2.627	44.1	2 0 0
34.46	2.603	82.3	1 2 1